# ThCd3Pd4
Simulated XRD peak list, Cu Kα. Input: a DFT-relaxed cell (GGA-PBE, Alexandria).

Largest 12 diffraction maxima, sorted by position, 2θ from 15° to 90°:
| d_spacing | I_rel |
| --- | --- |
| 4.768 | 6 |
| 3.372 | 2 |
| 2.753 | 3 |
| 2.384 | 100 |
| 2.132 | 2 |
| 1.802 | 2 |
| 1.686 | 17 |
| 1.589 | 1 |
| 1.508 | 1 |
| 1.376 | 34 |
| 1.322 | 1 |
| 1.192 | 11 |

Structural model:
```
ThCd3Pd4
1.0
-3.3717 3.3717 3.3717
3.3717 -3.3717 3.3717
3.3717 3.3717 -3.3717
Th Cd Pd
1 3 4
direct
0.0000 0.0000 0.0000
0.0000 0.5000 0.5000
0.5000 0.0000 0.5000
0.5000 0.5000 0.0000
0.0000 0.0000 0.5000
0.0000 0.5000 0.0000
0.5000 0.0000 0.0000
0.5000 0.5000 0.5000
```

***

# Ti3CdPd7
Simulated XRD peak list, Cu Kα. Input: a DFT-relaxed cell (GGA-PBE, Alexandria).

Largest 12 diffraction maxima, sorted by position, 2θ from 15° to 90°:
| d_spacing | I_rel |
| --- | --- |
| 3.325 | 17 |
| 3.009 | 28 |
| 2.669 | 17 |
| 2.511 | 100 |
| 2.362 | 66 |
| 2.231 | 69 |
| 2.098 | 58 |
| 1.949 | 43 |
| 1.837 | 17 |
| 1.721 | 32 |
| 1.529 | 15 |
| 1.301 | 14 |

Structural model:
```
Ti3CdPd7
1.0
4.2789 -4.7244 0.0000
4.2789 4.7244 0.0000
-2.1043 0.0000 4.6814
Ti Cd Pd
3 1 7
direct
0.0000 0.0000 0.0000
0.2313 0.7687 0.5000
0.7687 0.2313 0.5000
0.5000 0.5000 0.0000
0.0486 0.5960 0.8120
0.1748 0.1748 0.5650
0.4040 0.9514 0.1880
0.5000 0.5000 0.5000
0.5960 0.0486 0.8120
0.8252 0.8252 0.4350
0.9514 0.4040 0.1880
```

***

# TiCd5Pd6
Simulated XRD peak list, Cu Kα. Input: a DFT-relaxed cell (GGA-PBE, Alexandria).

Largest 12 diffraction maxima, sorted by position, 2θ from 15° to 90°:
| d_spacing | I_rel |
| --- | --- |
| 3.618 | 1 |
| 2.917 | 1 |
| 2.385 | 1 |
| 2.324 | 20 |
| 2.298 | 100 |
| 1.634 | 13 |
| 1.616 | 6 |
| 1.337 | 13 |
| 1.327 | 19 |
| 1.322 | 6 |
| 1.162 | 2 |
| 1.149 | 10 |

Structural model:
```
TiCd5Pd6
1.0
2.2987 -6.9730 0.0000
2.2987 6.9730 0.0000
0.0000 0.0000 6.4646
Ti Cd Pd
1 5 6
direct
0.0000 0.0000 0.0000
0.0000 0.0000 0.5000
0.3293 0.6707 0.0000
0.3316 0.6684 0.5000
0.6684 0.3316 0.5000
0.6707 0.3293 0.0000
0.1574 0.8426 0.2437
0.1574 0.8426 0.7563
0.5000 0.5000 0.2339
0.5000 0.5000 0.7661
0.8426 0.1574 0.2437
0.8426 0.1574 0.7563
```

***

# Ti2CdPd4
Simulated XRD peak list, Cu Kα. Input: a DFT-relaxed cell (GGA-PBE, Alexandria).

Largest 12 diffraction maxima, sorted by position, 2θ from 15° to 90°:
| d_spacing | I_rel |
| --- | --- |
| 2.650 | 32 |
| 2.504 | 28 |
| 2.382 | 61 |
| 2.311 | 87 |
| 2.304 | 100 |
| 2.287 | 40 |
| 2.261 | 35 |
| 2.255 | 61 |
| 2.246 | 78 |
| 2.214 | 86 |
| 2.199 | 41 |
| 1.990 | 27 |

Structural model:
```
Ti2CdPd4
1.0
5.4607 0.0000 0.0000
-1.6788 6.7727 0.0000
-2.0598 -3.2754 6.1855
Ti Cd Pd
4 2 8
direct
0.0000 0.0000 0.0000
0.0686 0.4529 0.8145
0.5774 0.4722 0.8290
0.7673 0.8115 0.3165
0.2283 0.6337 0.5113
0.6205 0.2096 0.3590
0.1454 0.1989 0.4249
0.1841 0.7821 0.1988
0.2038 0.0664 0.7369
0.3789 0.4296 0.1499
0.4933 0.8672 0.9553
0.6653 0.0527 0.6626
0.7820 0.6632 0.6227
0.8339 0.3448 0.0956
```

***

# Ti2CdPd
Simulated XRD peak list, Cu Kα. Input: a DFT-relaxed cell (GGA-PBE, Alexandria).

Largest 12 diffraction maxima, sorted by position, 2θ from 15° to 90°:
| d_spacing | I_rel |
| --- | --- |
| 5.125 | 12 |
| 3.454 | 28 |
| 2.563 | 12 |
| 2.506 | 26 |
| 2.338 | 41 |
| 2.247 | 55 |
| 2.209 | 100 |
| 1.709 | 18 |
| 1.468 | 17 |
| 1.323 | 18 |
| 1.243 | 19 |
| 1.210 | 13 |

Structural model:
```
Ti2CdPd
1.0
4.6755 0.0000 0.0000
0.0000 5.7467 0.0000
0.0000 0.0000 5.1251
Ti Cd Pd
4 2 2
direct
0.2500 0.0055 0.1643
0.2500 0.4945 0.1643
0.7500 0.5055 0.8357
0.7500 0.9945 0.8357
0.2500 0.2500 0.6569
0.7500 0.7500 0.3431
0.2500 0.7500 0.6737
0.7500 0.2500 0.3263
```

***

# Tl2CdPd9
Simulated XRD peak list, Cu Kα. Input: a DFT-relaxed cell (GGA-PBE, Alexandria).

Largest 12 diffraction maxima, sorted by position, 2θ from 15° to 90°:
| d_spacing | I_rel |
| --- | --- |
| 4.065 | 5 |
| 3.856 | 1 |
| 3.382 | 1 |
| 2.874 | 4 |
| 2.347 | 100 |
| 2.032 | 49 |
| 1.818 | 2 |
| 1.659 | 2 |
| 1.437 | 31 |
| 1.355 | 1 |
| 1.226 | 37 |
| 1.173 | 11 |

Structural model:
```
Tl2CdPd9
1.0
4.0645 0.0000 0.0000
0.0000 4.0645 0.0000
0.0000 0.0000 12.1949
Tl Cd Pd
2 1 9
direct
0.0000 0.0000 0.1684
0.0000 0.0000 0.8316
0.0000 0.0000 0.5000
0.0000 0.5000 0.0000
0.0000 0.5000 0.3362
0.0000 0.5000 0.6638
0.5000 0.0000 0.0000
0.5000 0.0000 0.3362
0.5000 0.0000 0.6638
0.5000 0.5000 0.1678
0.5000 0.5000 0.5000
0.5000 0.5000 0.8322
```

***

# Tl4CdPd15
Simulated XRD peak list, Cu Kα. Input: a DFT-relaxed cell (GGA-PBE, Alexandria).

Largest 12 diffraction maxima, sorted by position, 2θ from 15° to 90°:
| d_spacing | I_rel |
| --- | --- |
| 4.102 | 2 |
| 4.058 | 4 |
| 2.885 | 4 |
| 2.869 | 2 |
| 2.351 | 100 |
| 2.051 | 17 |
| 2.029 | 32 |
| 1.442 | 21 |
| 1.435 | 10 |
| 1.234 | 12 |
| 1.225 | 25 |
| 1.176 | 11 |

Structural model:
```
Tl4CdPd15
1.0
4.0580 0.0000 0.0000
0.0000 4.0580 0.0000
0.0000 0.0000 20.5105
Tl Cd Pd
4 1 15
direct
0.0000 0.0000 0.1006
0.0000 0.0000 0.3019
0.0000 0.0000 0.6981
0.0000 0.0000 0.8994
0.0000 0.0000 0.5000
0.0000 0.5000 0.0000
0.0000 0.5000 0.2015
0.0000 0.5000 0.4021
0.0000 0.5000 0.5979
0.0000 0.5000 0.7985
0.5000 0.0000 0.0000
0.5000 0.0000 0.2015
0.5000 0.0000 0.4021
0.5000 0.0000 0.5979
0.5000 0.0000 0.7985
0.5000 0.5000 0.1009
0.5000 0.5000 0.3018
0.5000 0.5000 0.5000
0.5000 0.5000 0.6982
0.5000 0.5000 0.8991
```

***

# Tm4CdPd2
Simulated XRD peak list, Cu Kα. Input: a DFT-relaxed cell (GGA-PBE, Alexandria).

Largest 12 diffraction maxima, sorted by position, 2θ from 15° to 90°:
| d_spacing | I_rel |
| --- | --- |
| 3.551 | 7 |
| 3.474 | 14 |
| 2.483 | 100 |
| 2.456 | 49 |
| 1.776 | 9 |
| 1.737 | 17 |
| 1.439 | 17 |
| 1.423 | 35 |
| 1.242 | 11 |
| 1.120 | 8 |
| 1.101 | 8 |
| 1.098 | 8 |

Structural model:
```
Tm4CdPd2
1.0
4.9125 0.0000 0.0000
0.0000 4.9125 0.0000
0.0000 0.0000 7.1021
Tm Cd Pd
4 1 2
direct
0.0000 0.5000 0.2394
0.0000 0.5000 0.7606
0.5000 0.0000 0.2394
0.5000 0.0000 0.7606
0.0000 0.0000 0.5000
0.0000 0.0000 0.0000
0.5000 0.5000 0.5000
```

***

# TmCd2Pd2
Simulated XRD peak list, Cu Kα. Input: a DFT-relaxed cell (GGA-PBE, Alexandria).

Largest 12 diffraction maxima, sorted by position, 2θ from 15° to 90°:
| d_spacing | I_rel |
| --- | --- |
| 2.936 | 7 |
| 2.642 | 21 |
| 2.630 | 18 |
| 2.505 | 9 |
| 2.386 | 38 |
| 2.354 | 100 |
| 2.287 | 25 |
| 1.771 | 13 |
| 1.614 | 7 |
| 1.463 | 19 |
| 1.372 | 19 |
| 1.177 | 9 |

Structural model:
```
TmCd2Pd2
1.0
2.3860 -7.8799 0.0000
2.3860 7.8799 0.0000
0.0000 0.0000 5.2834
Tm Cd Pd
2 4 4
direct
0.1381 0.8619 0.5000
0.8619 0.1381 0.0000
0.3359 0.6641 0.5297
0.4840 0.5160 0.2180
0.5160 0.4840 0.7180
0.6641 0.3359 0.0297
0.0544 0.9456 0.9998
0.2565 0.7435 0.0183
0.7435 0.2565 0.5183
0.9456 0.0544 0.4998
```

***

# Tm6CdPd
Simulated XRD peak list, Cu Kα. Input: a DFT-relaxed cell (GGA-PBE, Alexandria).

Largest 12 diffraction maxima, sorted by position, 2θ from 15° to 90°:
| d_spacing | I_rel |
| --- | --- |
| 3.558 | 28 |
| 3.002 | 66 |
| 2.993 | 100 |
| 2.982 | 36 |
| 2.938 | 29 |
| 2.852 | 24 |
| 2.250 | 34 |
| 2.242 | 19 |
| 2.012 | 35 |
| 2.004 | 18 |
| 1.710 | 19 |
| 1.705 | 14 |

Structural model:
```
Tm6CdPd
1.0
6.9505 0.0000 0.0000
-3.4499 6.0378 0.0000
-3.4476 -2.0074 5.8758
Tm Cd Pd
6 1 1
direct
0.0304 0.0682 0.2546
0.2907 0.7231 0.2536
0.3099 0.5347 0.7459
0.6901 0.4652 0.2541
0.7093 0.2769 0.7464
0.9696 0.9318 0.7454
0.5000 0.0000 0.0000
0.5000 0.5000 0.5000
```

***

# Tm4CdPd3
Simulated XRD peak list, Cu Kα. Input: a DFT-relaxed cell (GGA-PBE, Alexandria).

Largest 12 diffraction maxima, sorted by position, 2θ from 15° to 90°:
| d_spacing | I_rel |
| --- | --- |
| 3.518 | 5 |
| 2.487 | 100 |
| 2.031 | 2 |
| 1.763 | 6 |
| 1.757 | 12 |
| 1.572 | 2 |
| 1.438 | 12 |
| 1.435 | 24 |
| 1.244 | 7 |
| 1.242 | 4 |
| 1.114 | 5 |
| 1.111 | 11 |

Structural model:
```
Tm4CdPd3
1.0
4.9695 0.0000 0.0000
0.0000 4.9695 0.0000
0.0000 0.0000 7.0509
Tm Cd Pd
4 1 3
direct
0.0000 0.5000 0.2396
0.0000 0.5000 0.7604
0.5000 0.0000 0.2396
0.5000 0.0000 0.7604
0.0000 0.0000 0.5000
0.0000 0.0000 0.0000
0.5000 0.5000 0.0000
0.5000 0.5000 0.5000
```

***

# TmCd3Pd
Simulated XRD peak list, Cu Kα. Input: a DFT-relaxed cell (GGA-PBE, Alexandria).

Largest 12 diffraction maxima, sorted by position, 2θ from 15° to 90°:
| d_spacing | I_rel |
| --- | --- |
| 3.043 | 15 |
| 2.718 | 71 |
| 2.697 | 100 |
| 2.461 | 11 |
| 2.425 | 18 |
| 2.418 | 28 |
| 2.316 | 31 |
| 2.296 | 35 |
| 2.286 | 42 |
| 2.008 | 36 |
| 1.517 | 15 |
| 1.512 | 18 |

Structural model:
```
TmCd3Pd
1.0
9.4451 0.0000 0.0000
0.0000 4.0168 0.0000
0.0000 0.0000 11.8351
Tm Cd Pd
4 12 4
direct
0.1866 0.2500 0.0084
0.3134 0.7500 0.5084
0.6866 0.2500 0.4916
0.8134 0.7500 0.9916
0.0473 0.2500 0.4104
0.0604 0.7500 0.2029
0.1786 0.7500 0.7954
0.3214 0.2500 0.2954
0.4396 0.2500 0.7029
0.4527 0.7500 0.9104
0.5473 0.2500 0.0896
0.5604 0.7500 0.2971
0.6786 0.7500 0.7046
0.8214 0.2500 0.2046
0.9396 0.2500 0.7971
0.9527 0.7500 0.5896
0.1630 0.2500 0.6294
0.3370 0.7500 0.1294
0.6630 0.2500 0.8706
0.8370 0.7500 0.3706
```

***

# TmCdPd5
Simulated XRD peak list, Cu Kα. Input: a DFT-relaxed cell (GGA-PBE, Alexandria).

Largest 12 diffraction maxima, sorted by position, 2θ from 15° to 90°:
| d_spacing | I_rel |
| --- | --- |
| 3.314 | 43 |
| 2.710 | 48 |
| 2.473 | 82 |
| 2.409 | 78 |
| 2.382 | 100 |
| 2.322 | 45 |
| 2.312 | 63 |
| 2.232 | 82 |
| 2.131 | 40 |
| 2.098 | 46 |
| 2.089 | 41 |
| 2.016 | 99 |

Structural model:
```
TmCdPd5
1.0
3.9342 -2.7101 0.0000
3.9342 2.7101 0.0000
-3.8634 0.0000 6.0411
Tm Cd Pd
1 1 5
direct
0.0000 0.0000 0.0000
0.4803 0.4803 0.6715
0.1304 0.6374 0.2862
0.1494 0.1494 0.7067
0.5281 0.5281 0.0753
0.6374 0.1304 0.2862
0.7499 0.7499 0.5369
```